Record 1
This entry pairs a crystal structure of PrThCdCu with its simulated XRD peak list. Radiation: λ = 1.5418 Å (Cu Kα). Structure: a DFT-relaxed cell (GGA-PBE, Alexandria).
Neutral-atom scattering factors, no anomalous dispersion.

Largest 10 diffraction maxima, in order of rising 2θ, 2θ from 10° to 80°:
20.55 deg, 4.321 Å, I 6
23.78 deg, 3.742 Å, I 13
33.88 deg, 2.646 Å, I 100
39.95 deg, 2.257 Å, I 4
41.81 deg, 2.161 Å, I 4
48.66 deg, 1.871 Å, I 18
54.86 deg, 1.674 Å, I 6
60.61 deg, 1.528 Å, I 37
71.28 deg, 1.323 Å, I 11
76.34 deg, 1.247 Å, I 3

Crystal structure
a = 5.292 Å, b = 5.292 Å, c = 5.292 Å
α = 60.00°, β = 60.00°, γ = 60.00°
Fractional coordinates of all 4 atoms:
Pr: 0.000 0.000 0.000
Th: 0.500 0.500 0.500
Cd: 0.750 0.750 0.750
Cu: 0.250 0.250 0.250

=====

Record 2
This entry pairs a crystal structure of Ac2AsSe5 with its simulated XRD peak list. Radiation: λ = 1.5418 Å (Cu Kα). Structure: a DFT-relaxed cell (GGA-PBE, Alexandria).
Neutral-atom scattering factors, no anomalous dispersion.

Largest 10 diffraction maxima, in order of rising 2θ, 2θ from 10° to 80°:
14.37 deg, 6.165 Å, I 65
25.63 deg, 3.475 Å, I 71
27.09 deg, 3.291 Å, I 100
28.97 deg, 3.083 Å, I 71
30.44 deg, 2.937 Å, I 72
31.15 deg, 2.871 Å, I 65
32.96 deg, 2.718 Å, I 68
33.69 deg, 2.660 Å, I 59
38.47 deg, 2.340 Å, I 69
39.13 deg, 2.302 Å, I 60

Crystal structure
a = 6.013 Å, b = 6.624 Å, c = 7.471 Å
α = 112.02°, β = 112.31°, γ = 96.18°
Fractional coordinates of all 8 atoms:
Ac: 0.000 0.000 0.000
Ac: 0.434 0.419 0.811
As: 0.156 0.683 0.358
Se: 0.401 0.938 0.810
Se: 0.476 0.359 0.393
Se: 0.790 0.836 0.273
Se: 0.959 0.363 0.388
Se: 0.991 0.448 0.921

=====

Record 3
This entry pairs a crystal structure of Pa2Ni9H with its simulated XRD peak list. Radiation: λ = 1.5418 Å (Cu Kα). Structure: a DFT-relaxed cell (GGA-PBE, Alexandria).
Neutral-atom scattering factors, no anomalous dispersion.

Largest 10 diffraction maxima, in order of rising 2θ, 2θ from 10° to 80°:
17.50 deg, 5.067 Å, I 38
22.84 deg, 3.894 Å, I 37
28.92 deg, 3.088 Å, I 70
37.01 deg, 2.429 Å, I 40
37.31 deg, 2.410 Å, I 39
42.21 deg, 2.141 Å, I 100
42.48 deg, 2.128 Å, I 99
44.71 deg, 2.027 Å, I 30
46.65 deg, 1.947 Å, I 97
66.60 deg, 1.404 Å, I 35

Crystal structure
a = 3.894 Å, b = 3.894 Å, c = 10.135 Å
α = 90.00°, β = 90.00°, γ = 90.58°
Fractional coordinates of all 12 atoms:
Pa: 0.000 0.000 0.196
Pa: 0.000 0.000 0.804
Ni: 0.000 0.500 0.000
Ni: 0.000 0.500 0.367
Ni: 0.000 0.500 0.633
Ni: 0.500 0.000 0.000
Ni: 0.500 0.000 0.367
Ni: 0.500 0.000 0.633
Ni: 0.500 0.500 0.185
Ni: 0.500 0.500 0.500
Ni: 0.500 0.500 0.815
H: 0.000 0.000 0.500